1.
Starting from the GGA-PBE geometry in Alexandria, the powder diffraction line list of Ac9Nd2Ho was calculated for λ = 1.5418 Å (Cu Kα).
Neutral-atom scattering factors, no anomalous dispersion.

Most intense lines, 5° ≤ 2θ ≤ 70°, by intensity:
index	2theta	intensity
1 1 3	28.0	100
2 0 0	32.5	51
3 1 3	55.2	47
2 2 0	46.6	39
2 2 6	57.9	14
4 0 0	68.0	4
0 0 12	67.9	2
1 0 0	16.1	2
1 1 0	22.8	2
2 1 0	36.4	1

```
data_Ac9Nd2Ho
_chemical_formula_sum 'Ac9 Nd2 Ho1'
_cell_length_a 5.5120
_cell_length_b 5.5120
_cell_length_c 16.5674
_cell_angle_alpha 90.00
_cell_angle_beta 90.00
_cell_angle_gamma 90.00
_space_group_name_H-M_alt 'P 4/m m m'
_space_group_IT_number 123
_space_group_name_Hall '-P 4 2'
loop_
_atom_site_label
_atom_site_type_symbol
_atom_site_fract_x
_atom_site_fract_y
_atom_site_fract_z
Ac1 Ac 0.0000 0.0000 0.0000
Ac2 Ac 0.0000 0.0000 0.3324
Ac3 Ac 0.0000 0.5000 0.1647
Ac4 Ac 0.0000 0.5000 0.5000
Nd1 Nd 0.5000 0.5000 0.3321
Ho1 Ho 0.5000 0.5000 0.0000
```

2.
Starting from the GGA-PBE geometry in Alexandria, the powder diffraction line list of Ac8Nd6Ho was calculated for λ = 1.5418 Å (Cu Kα).
Neutral-atom scattering factors, no anomalous dispersion.

Most intense lines, 5° ≤ 2θ ≤ 70°, by intensity:
index	2theta	intensity
3 0 0	30.5	100
3 3 0	54.2	17
4 -2 6	43.7	14
0 2 4	26.2	12
3 -2 2	28.1	11
1 1 3	21.4	9
3 -1 4	31.6	9
5 -2 4	48.1	7
3 1 8	50.5	6
3 0 12	60.5	6

```
data_Ac8Nd6Ho
_chemical_formula_sum 'Ac24 Nd18 Ho3'
_cell_length_a 10.1621
_cell_length_b 10.1621
_cell_length_c 21.5028
_cell_angle_alpha 90.00
_cell_angle_beta 90.00
_cell_angle_gamma 120.00
_space_group_name_H-M_alt 'R -3'
_space_group_IT_number 148
_space_group_name_Hall '-R 3'
loop_
_atom_site_label
_atom_site_type_symbol
_atom_site_fract_x
_atom_site_fract_y
_atom_site_fract_z
Ac1 Ac 0.0000 0.0000 0.2319
Ac2 Ac 0.0130 0.7140 0.6237
Nd1 Nd 0.0005 0.6909 0.1292
Ho1 Ho 0.0000 0.0000 0.5000
```

3.
Starting from the GGA-PBE geometry in Alexandria, the powder diffraction line list of AcNd2Ho6 was calculated for λ = 1.5418 Å (Cu Kα).
Neutral-atom scattering factors, no anomalous dispersion.

Most intense lines, 5° ≤ 2θ ≤ 70°, by intensity:
index	2theta	intensity
2 0 -3	31.0	100
0 2 1	28.4	92
2 0 2	31.5	88
2 2 -2	34.8	84
4 0 -1	32.0	78
2 2 1	35.1	63
3 1 -1	27.4	35
4 2 0	43.5	34
0 2 4	51.5	31
5 1 1	49.8	31

```
data_AcNd2Ho6
_chemical_formula_sum 'Ac2 Nd4 Ho12'
_cell_length_a 11.1823
_cell_length_b 6.7783
_cell_length_c 8.8432
_cell_angle_alpha 90.00
_cell_angle_beta 109.52
_cell_angle_gamma 90.00
_space_group_name_H-M_alt 'C 1 2/m 1'
_space_group_IT_number 12
loop_
_space_group_symop_operation_xyz
'x,y,z'
'-x,-y,-z'
'-x,y,-z'
'x,-y,z'
'x+1/2,y+1/2,z'
'-x+1/2,-y+1/2,-z'
'-x+1/2,y+1/2,-z'
'x+1/2,-y+1/2,z'
loop_
_atom_site_label
_atom_site_type_symbol
_atom_site_fract_x
_atom_site_fract_y
_atom_site_fract_z
Ac1 Ac 0.0000 0.0000 0.0000
Nd1 Nd 0.2398 0.0000 0.7952
Ho1 Ho 0.0994 0.2381 0.4035
Ho2 Ho 0.1724 0.5000 0.7650
```

4.
Starting from the GGA-PBE geometry in Alexandria, the powder diffraction line list of Ac2Nd5Ho12 was calculated for λ = 1.5418 Å (Cu Kα).
Neutral-atom scattering factors, no anomalous dispersion.

Most intense lines, 5° ≤ 2θ ≤ 70°, by intensity:
index	2theta	intensity
-2 1 3	31.3	100
-1 3 1	31.5	31
2 -2 1	31.1	30
1 1 2	29.8	27
2 0 -7	56.0	11
1 3 -6	56.6	10
1 -4 3	45.9	10
3 0 -1	43.5	9
-1 2 5	44.1	9
2 0 1	32.6	8

```
data_Ac2Nd5Ho12
_chemical_formula_sum 'Ac2 Nd5 Ho12'
_cell_length_a 6.7894
_cell_length_b 8.8950
_cell_length_c 11.9821
_cell_angle_alpha 92.82
_cell_angle_beta 103.25
_cell_angle_gamma 112.41
_space_group_name_H-M_alt 'P -1'
_space_group_IT_number 2
loop_
_space_group_symop_operation_xyz
'x,y,z'
'-x,-y,-z'
loop_
_atom_site_label
_atom_site_type_symbol
_atom_site_fract_x
_atom_site_fract_y
_atom_site_fract_z
Ac1 Ac 0.2238 0.0408 0.1342
Nd1 Nd 0.0000 0.5000 0.5000
Nd2 Nd 0.2060 0.4294 0.9967
Nd3 Nd 0.3633 0.2929 0.4614
Ho1 Ho 0.0010 0.8902 0.3740
Ho2 Ho 0.1611 0.7629 0.8305
Ho3 Ho 0.2047 0.6367 0.2622
Ho4 Ho 0.3854 0.5022 0.7439
Ho5 Ho 0.3946 0.9641 0.6187
Ho6 Ho 0.4180 0.1742 0.8823
```

5.
Starting from the GGA-PBE geometry in Alexandria, the powder diffraction line list of Ac3NdHo2 was calculated for λ = 1.5418 Å (Cu Kα).
Neutral-atom scattering factors, no anomalous dispersion.

Most intense lines, 5° ≤ 2θ ≤ 70°, by intensity:
index	2theta	intensity
2 0 2	28.9	100
0 2 3	33.5	34
2 4 2	57.1	30
4 2 1	47.9	25
4 0 -2	33.2	17
6 0 0	56.7	15
4 0 4	59.8	13
0 4 0	48.2	12
1 1 1	18.5	4
8 0 -4	69.8	2

```
data_Ac3NdHo2
_chemical_formula_sum 'Ac12 Nd4 Ho8'
_cell_length_a 10.7852
_cell_length_b 7.5542
_cell_length_c 12.5572
_cell_angle_alpha 90.00
_cell_angle_beta 115.42
_cell_angle_gamma 90.00
_space_group_name_H-M_alt 'C 1 2/c 1'
_space_group_IT_number 15
loop_
_space_group_symop_operation_xyz
'x,y,z'
'-x,-y,-z'
'-x,y,-z+1/2'
'x,-y,z+1/2'
'x+1/2,y+1/2,z'
'-x+1/2,-y+1/2,-z'
'-x+1/2,y+1/2,-z+1/2'
'x+1/2,-y+1/2,z+1/2'
loop_
_atom_site_label
_atom_site_type_symbol
_atom_site_fract_x
_atom_site_fract_y
_atom_site_fract_z
Ac1 Ac 0.0000 0.1260 0.2500
Ac2 Ac 0.1673 0.3756 0.0840
Nd1 Nd 0.0000 0.3739 0.7500
Ho1 Ho 0.1656 0.1243 0.5819
```

6.
Starting from the GGA-PBE geometry in Alexandria, the powder diffraction line list of AcNd3Ho6 was calculated for λ = 1.5418 Å (Cu Kα).
Neutral-atom scattering factors, no anomalous dispersion.

Most intense lines, 5° ≤ 2θ ≤ 70°, by intensity:
index	2theta	intensity
2 2 -1	31.4	100
2 2 0	32.0	87
1 1 -3	30.5	86
0 2 1	28.8	57
6 2 -2	55.3	53
0 0 3	29.7	51
2 0 2	30.9	50
4 0 -1	31.2	49
3 1 -3	33.1	49
4 0 -2	31.5	48

```
data_AcNd3Ho6
_chemical_formula_sum 'Ac2 Nd6 Ho12'
_cell_length_a 11.5477
_cell_length_b 6.6023
_cell_length_c 9.9030
_cell_angle_alpha 90.00
_cell_angle_beta 114.14
_cell_angle_gamma 90.00
_space_group_name_H-M_alt 'C 1 2/m 1'
_space_group_IT_number 12
loop_
_space_group_symop_operation_xyz
'x,y,z'
'-x,-y,-z'
'-x,y,-z'
'x,-y,z'
'x+1/2,y+1/2,z'
'-x+1/2,-y+1/2,-z'
'-x+1/2,y+1/2,-z'
'x+1/2,-y+1/2,z'
loop_
_atom_site_label
_atom_site_type_symbol
_atom_site_fract_x
_atom_site_fract_y
_atom_site_fract_z
Ac1 Ac 0.0000 0.0000 0.0000
Nd1 Nd 0.0000 0.5000 0.5000
Nd2 Nd 0.0689 0.0000 0.6934
Ho1 Ho 0.1364 0.5000 0.9168
Ho2 Ho 0.1868 0.2531 0.3154
```

7.
Starting from the GGA-PBE geometry in Alexandria, the powder diffraction line list of AcNd12Ho2 was calculated for λ = 1.5418 Å (Cu Kα).
Neutral-atom scattering factors, no anomalous dispersion.

Most intense lines, 5° ≤ 2θ ≤ 70°, by intensity:
index	2theta	intensity
0 4 0	30.5	100
0 2 7	29.0	86
2 2 2	29.9	77
2 2 4	32.4	70
0 2 8	32.1	56
2 2 3	31.0	47
2 2 6	36.1	42
2 4 11	56.8	32
2 0 11	46.7	31
2 0 4	28.4	31

```
data_AcNd12Ho2
_chemical_formula_sum 'Ac4 Nd48 Ho8'
_cell_length_a 7.2198
_cell_length_b 11.7101
_cell_length_c 25.3815
_cell_angle_alpha 90.00
_cell_angle_beta 90.00
_cell_angle_gamma 90.00
_space_group_name_H-M_alt 'C m m e'
_space_group_IT_number 67
_space_group_name_Hall '-C 2a 2'
loop_
_atom_site_label
_atom_site_type_symbol
_atom_site_fract_x
_atom_site_fract_y
_atom_site_fract_z
Ac1 Ac 0.0000 0.2500 0.0142
Nd1 Nd 0.0000 0.0234 0.9205
Nd2 Nd 0.0000 0.0244 0.4406
Nd3 Nd 0.2307 0.2500 0.5837
Nd4 Nd 0.2396 0.2500 0.1410
Nd5 Nd 0.2500 0.0000 0.2029
Nd6 Nd 0.2500 0.0000 0.3272
Ho1 Ho 0.0000 0.2500 0.2754
Ho2 Ho 0.0000 0.2500 0.7292
```

8.
Starting from the GGA-PBE geometry in Alexandria, the powder diffraction line list of AcNd3Ho6 was calculated for λ = 1.5418 Å (Cu Kα).
Neutral-atom scattering factors, no anomalous dispersion.

Most intense lines, 5° ≤ 2θ ≤ 70°, by intensity:
index	2theta	intensity
2 4 0	29.4	100
2 4 1	31.1	70
3 1 1	30.1	66
0 2 3	31.9	65
1 5 1	31.7	63
1 3 2	27.7	44
3 1 2	34.8	24
0 10 0	59.0	21
5 3 2	54.6	19
0 6 1	35.8	18

```
data_AcNd3Ho6
_chemical_formula_sum 'Ac4 Nd12 Ho24'
_cell_length_a 9.6444
_cell_length_b 15.6478
_cell_length_c 9.0138
_cell_angle_alpha 90.00
_cell_angle_beta 90.00
_cell_angle_gamma 90.00
_space_group_name_H-M_alt 'C m c 21'
_space_group_IT_number 36
loop_
_space_group_symop_operation_xyz
'x,y,z'
'-x,-y,z+1/2'
'-x,y,z'
'x,-y,z+1/2'
'x+1/2,y+1/2,z'
'-x+1/2,-y+1/2,z+1/2'
'-x+1/2,y+1/2,z'
'x+1/2,-y+1/2,z+1/2'
loop_
_atom_site_label
_atom_site_type_symbol
_atom_site_fract_x
_atom_site_fract_y
_atom_site_fract_z
Ac1 Ac 0.0000 0.2232 0.0000
Nd1 Nd 0.0000 0.0481 0.2361
Nd2 Nd 0.2419 0.4407 0.4120
Ho1 Ho 0.0000 0.2854 0.3749
Ho2 Ho 0.0000 0.4494 0.1020
Ho3 Ho 0.1745 0.1448 0.5849
Ho4 Ho 0.1752 0.3535 0.7428
```

9.
Starting from the GGA-PBE geometry in Alexandria, the powder diffraction line list of AcNd2Ho8 was calculated for λ = 1.5418 Å (Cu Kα).
Neutral-atom scattering factors, no anomalous dispersion.

Most intense lines, 5° ≤ 2θ ≤ 70°, by intensity:
index	2theta	intensity
2 2 -1	31.1	100
2 2 1	31.6	87
6 0 -1	31.5	73
4 2 0	31.3	73
0 0 2	32.5	44
6 0 1	33.0	36
8 2 -2	55.7	26
8 2 2	58.3	21
0 4 0	51.4	20
2 2 3	57.7	20

```
data_AcNd2Ho8
_chemical_formula_sum 'Ac2 Nd4 Ho16'
_cell_length_a 19.2975
_cell_length_b 7.1116
_cell_length_c 5.5249
_cell_angle_alpha 90.00
_cell_angle_beta 93.04
_cell_angle_gamma 90.00
_space_group_name_H-M_alt 'C 1 2/m 1'
_space_group_IT_number 12
loop_
_space_group_symop_operation_xyz
'x,y,z'
'-x,-y,-z'
'-x,y,-z'
'x,-y,z'
'x+1/2,y+1/2,z'
'-x+1/2,-y+1/2,-z'
'-x+1/2,y+1/2,-z'
'x+1/2,-y+1/2,z'
loop_
_atom_site_label
_atom_site_type_symbol
_atom_site_fract_x
_atom_site_fract_y
_atom_site_fract_z
Ac1 Ac 0.0000 0.0000 0.0000
Nd1 Nd 0.2144 0.5000 0.2474
Ho1 Ho 0.0460 0.5000 0.2405
Ho2 Ho 0.1341 0.2696 0.7297
Ho3 Ho 0.1890 0.0000 0.2340
```

10.
Starting from the GGA-PBE geometry in Alexandria, the powder diffraction line list of Ac4Nd3Ho4 was calculated for λ = 1.5418 Å (Cu Kα).
Neutral-atom scattering factors, no anomalous dispersion.

Most intense lines, 5° ≤ 2θ ≤ 70°, by intensity:
index	2theta	intensity
11 1 0	30.2	100
3 1 1	29.6	64
0 2 0	30.6	56
8 0 -1	30.1	35
3 1 -1	29.2	32
8 2 -1	43.5	26
8 0 1	31.2	24
11 3 0	54.1	20
22 0 0	53.5	16
19 1 -1	54.0	14

```
data_Ac4Nd3Ho4
_chemical_formula_sum 'Ac8 Nd6 Ho8'
_cell_length_a 37.7061
_cell_length_b 5.8486
_cell_length_c 3.7154
_cell_angle_alpha 90.00
_cell_angle_beta 91.99
_cell_angle_gamma 90.00
_space_group_name_H-M_alt 'C 1 2/m 1'
_space_group_IT_number 12
loop_
_space_group_symop_operation_xyz
'x,y,z'
'-x,-y,-z'
'-x,y,-z'
'x,-y,z'
'x+1/2,y+1/2,z'
'-x+1/2,-y+1/2,-z'
'-x+1/2,y+1/2,-z'
'x+1/2,-y+1/2,z'
loop_
_atom_site_label
_atom_site_type_symbol
_atom_site_fract_x
_atom_site_fract_y
_atom_site_fract_z
Ac1 Ac 0.0921 0.0000 0.1937
Ac2 Ac 0.2211 0.5000 0.2402
Nd1 Nd 0.0000 0.0000 0.5000
Nd2 Nd 0.1331 0.5000 0.7054
Ho1 Ho 0.0397 0.5000 0.7838
Ho2 Ho 0.1798 0.0000 0.7270
```

11.
Starting from the GGA-PBE geometry in Alexandria, the powder diffraction line list of AcNd4Ho2 was calculated for λ = 1.5418 Å (Cu Kα).
Neutral-atom scattering factors, no anomalous dispersion.

Most intense lines, 5° ≤ 2θ ≤ 70°, by intensity:
index	2theta	intensity
1 1 0	30.8	100
1 0 7	30.4	87
2 1 7	54.5	34
0 2 7	43.8	32
3 0 0	54.7	20
2 2 0	64.1	12
0 1 8	33.4	12
0 1 14	53.8	11
1 1 15	63.7	8
2 0 14	63.2	7

```
data_AcNd4Ho2
_chemical_formula_sum 'Ac3 Nd12 Ho6'
_cell_length_a 5.8144
_cell_length_b 5.8144
_cell_length_c 25.3602
_cell_angle_alpha 90.00
_cell_angle_beta 90.00
_cell_angle_gamma 120.00
_space_group_name_H-M_alt 'R -3 m'
_space_group_IT_number 166
_space_group_name_Hall '-R 3 2"'
loop_
_atom_site_label
_atom_site_type_symbol
_atom_site_fract_x
_atom_site_fract_y
_atom_site_fract_z
Ac1 Ac 0.0000 0.0000 0.0000
Nd1 Nd 0.0000 0.0000 0.2687
Nd2 Nd 0.0000 0.0000 0.4228
Ho1 Ho 0.0000 0.0000 0.1388
```

12.
Starting from the GGA-PBE geometry in Alexandria, the powder diffraction line list of Ac3Nd2Ho was calculated for λ = 1.5418 Å (Cu Kα).
Neutral-atom scattering factors, no anomalous dispersion.

Most intense lines, 5° ≤ 2θ ≤ 70°, by intensity:
index	2theta	intensity
1 1 2	30.6	100
1 1 1	27.8	68
1 1 3	34.8	38
0 0 4	29.1	38
3 0 4	56.5	37
3 0 0	47.3	31
1 1 6	52.6	22
1 1 5	46.0	18
2 2 2	57.4	17
2 2 1	55.7	10

```
data_Ac3Nd2Ho
_chemical_formula_sum 'Ac6 Nd4 Ho2'
_cell_length_a 6.6585
_cell_length_b 6.6585
_cell_length_c 12.2540
_cell_angle_alpha 90.00
_cell_angle_beta 90.00
_cell_angle_gamma 120.00
_space_group_name_H-M_alt 'P 63/m c m'
_space_group_IT_number 193
_space_group_name_Hall '-P 6c 2'
loop_
_atom_site_label
_atom_site_type_symbol
_atom_site_fract_x
_atom_site_fract_y
_atom_site_fract_z
Ac1 Ac 0.0000 0.3314 0.2500
Nd1 Nd 0.3333 0.6667 0.0000
Ho1 Ho 0.0000 0.0000 0.0000
```

Copy entry 1 word for word.
Starting from the GGA-PBE geometry in Alexandria, the powder diffraction line list of Ac9Nd2Ho was calculated for λ = 1.5418 Å (Cu Kα).
Neutral-atom scattering factors, no anomalous dispersion.

Most intense lines, 5° ≤ 2θ ≤ 70°, by intensity:
index	2theta	intensity
1 1 3	28.0	100
2 0 0	32.5	51
3 1 3	55.2	47
2 2 0	46.6	39
2 2 6	57.9	14
4 0 0	68.0	4
0 0 12	67.9	2
1 0 0	16.1	2
1 1 0	22.8	2
2 1 0	36.4	1

```
data_Ac9Nd2Ho
_chemical_formula_sum 'Ac9 Nd2 Ho1'
_cell_length_a 5.5120
_cell_length_b 5.5120
_cell_length_c 16.5674
_cell_angle_alpha 90.00
_cell_angle_beta 90.00
_cell_angle_gamma 90.00
_space_group_name_H-M_alt 'P 4/m m m'
_space_group_IT_number 123
_space_group_name_Hall '-P 4 2'
loop_
_atom_site_label
_atom_site_type_symbol
_atom_site_fract_x
_atom_site_fract_y
_atom_site_fract_z
Ac1 Ac 0.0000 0.0000 0.0000
Ac2 Ac 0.0000 0.0000 0.3324
Ac3 Ac 0.0000 0.5000 0.1647
Ac4 Ac 0.0000 0.5000 0.5000
Nd1 Nd 0.5000 0.5000 0.3321
Ho1 Ho 0.5000 0.5000 0.0000
```

- Which formula does entry 12 have?
  Ac3Nd2Ho